Record 1
Computed powder diffractogram of Tm2MgS4 for copper Kα, from a PBE-relaxed structure.
Kinematic intensities with the Lorentz-polarization factor, no thermal factor.

Structure:
abc: 12.499 7.453 12.695
angles: 90.00 90.00 90.00
Space group Pca2_1 (No. 29)
Symmetry-distinct sites (fractional):
Tm 0.109 0.117 0.000 (multiplicity 4)
Tm 0.128 0.619 0.640 (multiplicity 4)
Tm 0.134 0.371 0.306 (multiplicity 4)
Tm 0.134 0.871 0.305 (multiplicity 4)
Mg 0.110 0.619 0.004 (multiplicity 4)
Mg 0.126 0.122 0.636 (multiplicity 4)
S 0.014 0.123 0.191 (multiplicity 4)
S 0.021 0.626 0.184 (multiplicity 4)
S 0.034 0.624 0.445 (multiplicity 4)
S 0.041 0.126 0.450 (multiplicity 4)
S 0.213 0.120 0.818 (multiplicity 4)
S 0.214 0.620 0.832 (multiplicity 4)
S 0.232 0.368 0.091 (multiplicity 4)
S 0.232 0.871 0.091 (multiplicity 4)

Top 6 peaks for 10° ≤ 2θ ≤ 90°, most intense first:
2θ/deg	d/Å	I (rel.)	(hkl)
25.4	3.504	100	2 0 3
33.0	2.713	64	3 2 1
35.3	2.545	53	3 2 2
43.7	2.069	33	1 2 5
25.9	3.438	33	1 2 1
28.7	3.112	31	1 2 2

---

Record 2
Computed powder diffractogram of Tm2MgS4 for copper Kα, from a PBE-relaxed structure.
Kinematic intensities with the Lorentz-polarization factor, no thermal factor.

Structure:
abc: 7.837 7.297 11.303
angles: 90.00 90.00 90.00
Space group Pnma (No. 62)
Symmetry-distinct sites (fractional):
Tm 0.045 0.250 0.194 (multiplicity 4)
Tm 0.064 0.750 0.485 (multiplicity 4)
Mg 0.175 0.750 0.098 (multiplicity 4)
S 0.112 0.250 0.961 (multiplicity 4)
S 0.121 0.005 0.659 (multiplicity 8)
S 0.229 0.250 0.391 (multiplicity 4)

Top 6 peaks for 10° ≤ 2θ ≤ 90°, most intense first:
2θ/deg	d/Å	I (rel.)	(hkl)
36.1	2.486	100	1 2 3
24.4	3.649	89	0 2 0
14.4	6.131	87	0 1 1
37.4	2.403	57	3 1 1
26.2	3.396	55	1 0 3
13.7	6.440	44	1 0 1

---

Record 3
Computed powder diffractogram of Tm2MgS4 for copper Kα, from a PBE-relaxed structure.
Kinematic intensities with the Lorentz-polarization factor, no thermal factor.

Structure:
abc: 12.484 3.805 13.329
angles: 90.00 90.00 90.00
Space group Pnma (No. 62)
Symmetry-distinct sites (fractional):
Tm 0.117 0.250 0.074 (multiplicity 4)
Tm 0.139 0.250 0.704 (multiplicity 4)
Mg 0.112 0.750 0.452 (multiplicity 4)
S 0.009 0.750 0.617 (multiplicity 4)
S 0.027 0.250 0.883 (multiplicity 4)
S 0.225 0.250 0.246 (multiplicity 4)
S 0.239 0.250 0.516 (multiplicity 4)

Top 6 peaks for 10° ≤ 2θ ≤ 90°, most intense first:
2θ/deg	d/Å	I (rel.)	(hkl)
27.5	3.249	100	2 1 0
15.1	5.879	91	1 0 2
24.6	3.620	87	2 0 3
34.7	2.588	53	3 1 2
42.6	2.120	43	4 1 3
32.6	2.748	33	3 1 1

---

Record 4
Computed powder diffractogram of Tm2MgS4 for copper Kα, from a PBE-relaxed structure.
Kinematic intensities with the Lorentz-polarization factor, no thermal factor.

Structure:
abc: 11.078 11.078 11.078
angles: 90.00 90.00 90.00
Space group Fd-3m (No. 227, origin choice 2)
Symmetry-distinct sites (fractional):
Tm 0.000 0.000 0.000 (multiplicity 16)
Mg 0.125 0.125 0.625 (multiplicity 8)
S 0.005 0.005 0.245 (multiplicity 32)

Top 6 peaks for 10° ≤ 2θ ≤ 90°, most intense first:
2θ/deg	d/Å	I (rel.)	(hkl)
13.8	6.396	100	1 1 1
26.7	3.340	91	3 1 1
32.3	2.769	80	4 0 0
46.4	1.958	71	4 4 0
42.4	2.132	39	5 1 1
27.9	3.198	32	2 2 2

---

Record 5
Computed powder diffractogram of Tm2MgS4 for copper Kα, from a PBE-relaxed structure.
Kinematic intensities with the Lorentz-polarization factor, no thermal factor.

Structure:
abc: 8.121 8.121 8.412
angles: 90.00 90.00 90.00
Space group I-42d (No. 122)
Symmetry-distinct sites (fractional):
Tm 0.133 0.250 0.125 (multiplicity 8)
Mg 0.000 0.000 0.500 (multiplicity 4)
S 0.066 0.196 0.814 (multiplicity 16)

Top 6 peaks for 10° ≤ 2θ ≤ 90°, most intense first:
2θ/deg	d/Å	I (rel.)	(hkl)
26.7	3.334	100	2 1 1
26.3	3.393	85	1 1 2
34.9	2.568	81	3 1 0
40.7	2.219	69	2 1 3
15.2	5.842	58	1 0 1
41.5	2.176	52	3 2 1

---

Record 6
Computed powder diffractogram of MgVS3 for copper Kα, from a PBE-relaxed structure.
Kinematic intensities with the Lorentz-polarization factor, no thermal factor.

Structure:
abc: 12.429 6.673 11.994
angles: 90.00 119.52 90.00
Space group Cm (No. 8)
Symmetry-distinct sites (fractional):
Mg 0.000 0.000 0.000 (multiplicity 2)
Mg 0.003 0.000 0.504 (multiplicity 2)
Mg 0.355 0.500 0.676 (multiplicity 2)
Mg 0.360 0.500 0.182 (multiplicity 2)
V 0.370 0.000 0.379 (multiplicity 2)
V 0.371 0.000 0.882 (multiplicity 2)
V 0.494 0.000 0.694 (multiplicity 2)
V 0.498 0.000 0.198 (multiplicity 2)
S 0.168 0.500 0.706 (multiplicity 2)
S 0.173 0.500 0.214 (multiplicity 2)
S 0.198 0.000 0.715 (multiplicity 2)
S 0.203 0.000 0.206 (multiplicity 2)
S 0.370 0.233 0.532 (multiplicity 4)
S 0.374 0.233 0.036 (multiplicity 4)
S 0.491 0.234 0.843 (multiplicity 4)
S 0.496 0.235 0.348 (multiplicity 4)

Top 6 peaks for 10° ≤ 2θ ≤ 90°, most intense first:
2θ/deg	d/Å	I (rel.)	(hkl)
16.4	5.408	100	2 0 0
31.8	2.815	74	0 2 2
15.6	5.679	54	1 1 0
25.8	3.456	41	3 1 -2
52.6	1.741	41	0 0 6
26.0	3.426	41	1 1 2

---

Record 7
Computed powder diffractogram of MgV2S5 for copper Kα, from a PBE-relaxed structure.
Kinematic intensities with the Lorentz-polarization factor, no thermal factor.

Structure:
abc: 3.921 14.382 5.982
angles: 90.00 90.00 90.00
Space group Pmmn (No. 59, origin choice 2)
Symmetry-distinct sites (fractional):
Mg 0.250 0.250 0.134 (multiplicity 2)
V 0.250 0.598 0.417 (multiplicity 4)
S 0.250 0.070 0.381 (multiplicity 4)
S 0.250 0.640 0.077 (multiplicity 4)
S 0.250 0.750 0.574 (multiplicity 2)

Top 6 peaks for 10° ≤ 2θ ≤ 90°, most intense first:
2θ/deg	d/Å	I (rel.)	(hkl)
14.8	5.982	100	0 0 1
27.2	3.279	93	1 0 1
23.5	3.783	64	1 1 0
39.9	2.258	64	1 2 2
46.3	1.961	47	2 0 0
19.3	4.599	46	0 2 1

---

Record 8
Computed powder diffractogram of Mg2VW3S8 for copper Kα, from a PBE-relaxed structure.
Kinematic intensities with the Lorentz-polarization factor, no thermal factor.

Structure:
abc: 7.014 7.020 7.345
angles: 118.11 90.14 119.92
Space group P1 (No. 1)
Symmetry-distinct sites (fractional):
Mg 0.000 0.000 0.000 (multiplicity 1)
Mg 0.242 0.487 0.732 (multiplicity 1)
V 0.579 0.158 0.733 (multiplicity 1)
W 0.043 0.679 0.315 (multiplicity 1)
W 0.635 0.269 0.318 (multiplicity 1)
W 0.636 0.680 0.316 (multiplicity 1)
S 0.336 0.174 0.513 (multiplicity 1)
S 0.341 0.681 0.516 (multiplicity 1)
S 0.376 0.753 0.128 (multiplicity 1)
S 0.395 0.217 0.038 (multiplicity 1)
S 0.819 0.641 0.035 (multiplicity 1)
S 0.821 0.217 0.039 (multiplicity 1)
S 0.835 0.171 0.513 (multiplicity 1)
S 0.863 0.725 0.591 (multiplicity 1)

Top 6 peaks for 10° ≤ 2θ ≤ 90°, most intense first:
2θ/deg	d/Å	I (rel.)	(hkl)
14.4	6.158	100	0 0 1
15.3	5.775	73	1 0 0
35.4	2.533	48	2 0 -2
29.8	3.002	30	0 2 -1
35.2	2.551	25	0 2 0
52.1	1.755	21	2 -4 2

---

Record 9
Computed powder diffractogram of Y3Mg2VS8 for copper Kα, from a PBE-relaxed structure.
Kinematic intensities with the Lorentz-polarization factor, no thermal factor.

Structure:
abc: 13.292 7.793 7.684
angles: 90.00 124.27 90.00
Space group C2/m (No. 12)
Symmetry-distinct sites (fractional):
Y 0.000 0.000 0.000 (multiplicity 2)
Y 0.250 0.250 0.500 (multiplicity 4)
Mg 0.125 0.500 0.876 (multiplicity 4)
V 0.000 0.000 0.500 (multiplicity 2)
S 0.000 0.230 0.271 (multiplicity 8)
S 0.231 0.000 0.731 (multiplicity 4)
S 0.245 0.000 0.253 (multiplicity 4)

Top 6 peaks for 10° ≤ 2θ ≤ 90°, most intense first:
2θ/deg	d/Å	I (rel.)	(hkl)
32.7	2.735	100	2 2 -2
13.9	6.354	78	1 1 0
46.6	1.950	73	2 2 2
26.8	3.323	64	0 2 1
32.6	2.746	51	4 0 0
27.0	3.307	49	3 1 0

---

Record 10
Computed powder diffractogram of YMgVS4 for copper Kα, from a PBE-relaxed structure.
Kinematic intensities with the Lorentz-polarization factor, no thermal factor.

Structure:
abc: 7.519 7.657 10.679
angles: 90.00 90.00 90.00
Space group Imma (No. 74)
Symmetry-distinct sites (fractional):
Y 0.000 0.000 0.000 (multiplicity 4)
Mg 0.000 0.250 0.373 (multiplicity 4)
V 0.250 0.250 0.750 (multiplicity 4)
S 0.000 0.034 0.746 (multiplicity 8)
S 0.250 0.250 0.519 (multiplicity 8)

Top 6 peaks for 10° ≤ 2θ ≤ 90°, most intense first:
2θ/deg	d/Å	I (rel.)	(hkl)
33.4	2.683	100	2 2 0
48.1	1.892	92	2 2 4
27.7	3.219	70	1 0 3
14.4	6.148	67	1 0 1
27.4	3.250	66	1 2 1
33.6	2.670	49	0 0 4

---

> What is the formula in the fourth record?

Tm2MgS4

---

What did the second record say?
Computed powder diffractogram of Tm2MgS4 for copper Kα, from a PBE-relaxed structure.
Kinematic intensities with the Lorentz-polarization factor, no thermal factor.

Structure:
abc: 7.837 7.297 11.303
angles: 90.00 90.00 90.00
Space group Pnma (No. 62)
Symmetry-distinct sites (fractional):
Tm 0.045 0.250 0.194 (multiplicity 4)
Tm 0.064 0.750 0.485 (multiplicity 4)
Mg 0.175 0.750 0.098 (multiplicity 4)
S 0.112 0.250 0.961 (multiplicity 4)
S 0.121 0.005 0.659 (multiplicity 8)
S 0.229 0.250 0.391 (multiplicity 4)

Top 6 peaks for 10° ≤ 2θ ≤ 90°, most intense first:
2θ/deg	d/Å	I (rel.)	(hkl)
36.1	2.486	100	1 2 3
24.4	3.649	89	0 2 0
14.4	6.131	87	0 1 1
37.4	2.403	57	3 1 1
26.2	3.396	55	1 0 3
13.7	6.440	44	1 0 1